Simulated XRD peak list of Sr3Ga2N4 for Cu Kα (λ = 1.5418 Å), from the PBE geometry in the Materials Project.
No peak broadening, texture or thermal motion is included.

Lattice parameters (Å, degrees): 5.992 10.369 9.623 90.00 90.00 90.00
Space group Pnna (No. 52)
Inequivalent atoms, fractional coordinates:
Sr: 0.108 0.154 0.088
Sr: 0.250 0.000 0.405
Ga: 0.161 0.250 0.750
Ga: 0.250 0.000 0.730
N: 0.007 0.096 0.833
N: 0.122 0.646 0.875

The 10 most intense peaks (2θ from 10° to 80°), sorted by position:
2θ/deg	intensity	hkl
27.42	66	0 3 1
31.07	37	2 1 0
31.64	100	1 0 3
32.47	23	2 1 1
32.83	49	1 1 3
35.31	52	1 3 2
35.85	35	2 2 1
46.31	20	2 4 0
47.33	18	1 5 1
48.54	21	1 3 4

---

Simulated XRD peak list of PrNi12B6 for Cu Kα (λ = 1.5418 Å), from the PBE geometry in the Materials Project.
No peak broadening, texture or thermal motion is included.

Lattice parameters (Å, degrees): 9.601 7.410 11.038 90.00 90.00 90.00
Space group Cmc2_1 (No. 36)
Inequivalent atoms, fractional coordinates:
Pr: 0.000 0.165 0.000
Ni: 0.000 0.221 0.600
Ni: 0.000 0.433 0.419
Ni: 0.132 0.327 0.236
Ni: 0.132 0.343 0.776
Ni: 0.133 0.013 0.757
Ni: 0.182 0.188 0.438
Ni: 0.193 0.467 0.569
B: 0.000 0.165 0.336
B: 0.000 0.485 0.660
B: 0.206 0.194 0.624
B: 0.214 0.461 0.387

The 10 most intense peaks (2θ from 10° to 80°), sorted by position:
2θ/deg	intensity	hkl
31.54	56	2 2 1
32.44	28	0 0 4
34.61	50	2 2 2
39.26	63	3 1 3
41.00	74	4 0 2
41.13	100	1 3 2
43.82	40	1 1 5
49.49	37	0 0 6
57.79	27	3 3 4
61.13	27	5 3 0

---

Simulated XRD peak list of LiEu3 for Cu Kα (λ = 1.5418 Å), from the PBE geometry in the Materials Project.
No peak broadening, texture or thermal motion is included.

Lattice parameters (Å, degrees): 5.200 5.200 11.458 90.00 90.00 90.00
Space group I4/mmm (No. 139)
Inequivalent atoms, fractional coordinates:
Li: 0.000 0.000 0.000
Eu: 0.000 0.000 0.500
Eu: 0.000 0.500 0.250

The 10 most intense peaks (2θ from 10° to 80°), sorted by position:
2θ/deg	intensity	hkl
18.74	28	1 0 1
28.85	100	1 1 2
31.23	20	0 0 4
34.49	31	2 0 0
47.21	26	2 0 4
49.58	11	2 2 0
54.12	17	1 1 6
58.39	29	3 1 2
59.77	13	2 2 4
76.44	13	3 1 6